Entry 1:
As6I: calculated powder X-ray diffraction pattern (Cu Kα, 1.54184 Å), based on a DFT-relaxed cell (GGA-PBE, Alexandria).
Peak positions follow from Bragg's law for the DFT cell and can differ from measured ones.

Main lines, in order of rising 2θ (5 to 70 degrees two-theta):
- d 5.215, 17.00 deg, rel. 2.3, (1 1 0)
- d 3.688, 24.13 deg, rel. 42.5, (2 0 0)
- d 3.011, 29.67 deg, rel. 100.0, (2 1 1)
- d 2.332, 38.60 deg, rel. 0.6, (3 1 0)
- d 2.129, 42.46 deg, rel. 18.3, (2 2 2)
- d 1.971, 46.05 deg, rel. 58.6, (3 2 1)
- d 1.844, 49.43 deg, rel. 26.3, (4 0 0)
- d 1.649, 55.74 deg, rel. 16.5, (4 2 0)
- d 1.572, 58.72 deg, rel. 14.0, (3 3 2)
- d 1.347, 69.85 deg, rel. 16.7, (5 2 1)

Cell and atoms:
a = 7.375 Å, b = 7.375 Å, c = 7.375 Å
α = 90.00°, β = 90.00°, γ = 90.00°
Space group Im-3m (No. 229)
Symmetry-distinct sites (fractional):
As 0.000 0.250 0.500
I 0.000 0.000 0.000

Entry 2:
AsI3: calculated powder X-ray diffraction pattern (Cu Kα, 1.54184 Å), based on a DFT-relaxed cell (GGA-PBE, Alexandria).
Peak positions follow from Bragg's law for the DFT cell and can differ from measured ones.

Main lines, in order of rising 2θ (5 to 70 degrees two-theta):
- d 5.781, 15.33 deg, rel. 82.0, (0 0 1)
- d 5.544, 15.99 deg, rel. 86.3, (1 1 0)
- d 3.506, 25.40 deg, rel. 75.5, (2 1 0)
- d 3.245, 27.49 deg, rel. 79.1, (2 0 1)
- d 2.998, 29.80 deg, rel. 100.0, (2 1 1)
- d 2.891, 30.94 deg, rel. 73.6, (0 0 2)
- d 2.772, 32.29 deg, rel. 56.3, (2 2 0)
- d 2.479, 36.23 deg, rel. 90.0, (3 1 0)
- d 2.001, 45.33 deg, rel. 43.3, (2 2 2)
- d 1.882, 48.36 deg, rel. 78.2, (3 1 2)

Cell and atoms:
a = 7.841 Å, b = 7.841 Å, c = 5.781 Å
α = 90.00°, β = 90.00°, γ = 90.00°
Space group P4/mbm (No. 127)
Symmetry-distinct sites (fractional):
As 0.000 0.000 0.000
I 0.000 0.000 0.500
I 0.178 0.322 0.000

Entry 3:
AsI3: calculated powder X-ray diffraction pattern (Cu Kα, 1.54184 Å), based on a DFT-relaxed cell (GGA-PBE, Alexandria).
Peak positions follow from Bragg's law for the DFT cell and can differ from measured ones.

Main lines, in order of rising 2θ (5 to 70 degrees two-theta):
- d 7.489, 11.82 deg, rel. 21.6, (0 0 3)
- d 3.744, 23.76 deg, rel. 18.1, (0 0 6)
- d 3.279, 27.20 deg, rel. 100.0, (2 -1 3)
- d 2.613, 34.32 deg, rel. 39.0, (2 -1 6)
- d 2.106, 42.95 deg, rel. 27.9, (3 0 0)
- d 2.060, 43.95 deg, rel. 28.0, (1 1 9)
- d 1.835, 49.67 deg, rel. 12.3, (0 3 6)
- d 1.772, 51.58 deg, rel. 14.9, (2 2 3)
- d 1.399, 66.87 deg, rel. 9.7, (0 3 12)
- d 1.356, 69.31 deg, rel. 10.6, (5 -4 3)

Cell and atoms:
a = 7.2946 Å, b = 7.2946 Å, c = 22.4668 Å
α = 90.00°, β = 90.00°, γ = 120.00°
Space group R-3 (No. 148, hexagonal axes)
Symmetry-distinct sites (fractional):
As 0.0000 0.0000 0.1700
I 0.0026 0.6455 0.4251

Entry 4:
Rb2InAsI6: calculated powder X-ray diffraction pattern (Cu Kα, 1.54184 Å), based on a DFT-relaxed cell (GGA-PBE, Alexandria).
Peak positions follow from Bragg's law for the DFT cell and can differ from measured ones.

Main lines, in order of rising 2θ (5 to 70 degrees two-theta):
- d 6.077, 14.58 deg, rel. 35.8, (0 1 2)
- d 3.668, 24.27 deg, rel. 45.0, (2 -1 3)
- d 3.519, 25.31 deg, rel. 54.1, (2 0 2)
- d 3.478, 25.61 deg, rel. 25.4, (0 0 6)
- d 3.039, 29.39 deg, rel. 100.0, (0 2 4)
- d 2.800, 31.96 deg, rel. 20.1, (3 -1 1)
- d 2.708, 33.08 deg, rel. 17.7, (1 1 6)
- d 2.158, 41.86 deg, rel. 21.4, (2 2 0)
- d 2.139, 42.25 deg, rel. 34.2, (2 0 8)
- d 2.063, 43.88 deg, rel. 21.3, (4 -3 1)

Cell and atoms:
a = 8.6327 Å, b = 8.6327 Å, c = 20.8667 Å
α = 90.00°, β = 90.00°, γ = 120.00°
Space group R3 (No. 146, hexagonal axes)
Symmetry-distinct sites (fractional):
Rb 0.0000 0.0000 0.0000
Rb 0.0000 0.0000 0.4999
In 0.0000 0.0000 0.2635
As 0.0000 0.0000 0.7645
I 0.0233 0.5720 0.5126
I 0.1188 0.3545 0.3524

Entry 5:
K2AsI4: calculated powder X-ray diffraction pattern (Cu Kα, 1.54184 Å), based on a DFT-relaxed cell (GGA-PBE, Alexandria).
Peak positions follow from Bragg's law for the DFT cell and can differ from measured ones.

Main lines, in order of rising 2θ (5 to 70 degrees two-theta):
- d 8.765, 10.09 deg, rel. 57.6, (0 0 2)
- d 5.623, 15.76 deg, rel. 47.7, (1 0 1)
- d 3.786, 23.50 deg, rel. 79.1, (1 1 2)
- d 3.031, 29.47 deg, rel. 72.0, (1 1 4)
- d 2.968, 30.11 deg, rel. 100.0, (2 0 0)
- d 2.922, 30.60 deg, rel. 39.5, (0 0 6)
- d 2.099, 43.10 deg, rel. 36.5, (2 2 0)
- d 2.082, 43.46 deg, rel. 59.3, (2 0 6)
- d 1.725, 53.08 deg, rel. 31.1, (3 1 4)
- d 1.705, 53.78 deg, rel. 31.3, (2 2 6)

Cell and atoms:
a = 5.936 Å, b = 5.936 Å, c = 17.529 Å
α = 90.00°, β = 90.00°, γ = 90.00°
Space group I4/mmm (No. 139)
Symmetry-distinct sites (fractional):
K 0.000 0.000 0.132
As 0.000 0.000 0.500
I 0.000 0.000 0.334
I 0.000 0.500 0.000

Entry 6:
K3AsI6: calculated powder X-ray diffraction pattern (Cu Kα, 1.54184 Å), based on a DFT-relaxed cell (GGA-PBE, Alexandria).
Peak positions follow from Bragg's law for the DFT cell and can differ from measured ones.

Main lines, in order of rising 2θ (5 to 70 degrees two-theta):
- d 7.147, 12.39 deg, rel. 50.9, (0 1 1)
- d 3.778, 23.55 deg, rel. 67.5, (2 1 -2)
- d 3.720, 23.92 deg, rel. 43.6, (1 2 -2)
- d 3.633, 24.50 deg, rel. 99.0, (1 0 2)
- d 3.569, 24.95 deg, rel. 100.0, (0 2 2)
- d 3.526, 25.26 deg, rel. 55.5, (1 0 -4)
- d 3.312, 26.92 deg, rel. 43.8, (1 2 1)
- d 3.280, 27.19 deg, rel. 47.5, (1 1 -4)
- d 2.742, 32.65 deg, rel. 76.3, (2 2 0)
- d 2.050, 44.17 deg, rel. 46.4, (1 2 4)

Cell and atoms:
a = 8.341 Å, b = 8.945 Å, c = 14.262 Å
α = 90.00°, β = 123.56°, γ = 90.00°
Space group P2_1/c (No. 14)
Symmetry-distinct sites (fractional):
K 0.000 0.000 0.000
K 0.206 0.084 0.740
As 0.500 0.000 0.500
I 0.165 0.173 0.447
I 0.266 0.729 0.424
I 0.408 0.054 0.275

Entry 7:
KLi2AsI: calculated powder X-ray diffraction pattern (Cu Kα, 1.54184 Å), based on a DFT-relaxed cell (GGA-PBE, Alexandria).
Peak positions follow from Bragg's law for the DFT cell and can differ from measured ones.

Main lines, in order of rising 2θ (5 to 70 degrees two-theta):
- d 5.198, 17.06 deg, rel. 29.0, (1 0 0)
- d 4.033, 22.04 deg, rel. 100.0, (1 0 1)
- d 3.675, 24.22 deg, rel. 84.4, (1 1 0)
- d 3.196, 27.91 deg, rel. 34.8, (0 0 2)
- d 2.599, 34.51 deg, rel. 39.2, (2 0 0)
- d 2.412, 37.28 deg, rel. 53.5, (1 1 2)
- d 2.185, 41.33 deg, rel. 39.1, (2 1 1)
- d 2.016, 44.96 deg, rel. 36.5, (2 0 2)
- d 1.593, 57.88 deg, rel. 16.8, (2 2 2)
- d 1.462, 63.66 deg, rel. 21.1, (3 1 2)

Cell and atoms:
a = 5.198 Å, b = 5.198 Å, c = 6.393 Å
α = 90.00°, β = 90.00°, γ = 90.00°
Space group P4/mmm (No. 123)
Symmetry-distinct sites (fractional):
K 0.000 0.000 0.000
Li 0.000 0.500 0.500
As 0.500 0.500 0.000
I 0.000 0.000 0.500

Entry 8:
KAsIO6: calculated powder X-ray diffraction pattern (Cu Kα, 1.54184 Å), based on a DFT-relaxed cell (GGA-PBE, Alexandria).
Peak positions follow from Bragg's law for the DFT cell and can differ from measured ones.

Main lines, in order of rising 2θ (5 to 70 degrees two-theta):
- d 6.085, 14.56 deg, rel. 100.0, (0 0 1)
- d 4.520, 19.64 deg, rel. 25.3, (1 0 0)
- d 3.629, 24.53 deg, rel. 99.7, (1 0 1)
- d 3.043, 29.35 deg, rel. 13.4, (0 0 2)
- d 2.610, 34.36 deg, rel. 33.4, (1 1 0)
- d 2.399, 37.50 deg, rel. 33.7, (2 -1 1)
- d 2.119, 42.68 deg, rel. 15.9, (2 0 1)
- d 1.981, 45.81 deg, rel. 55.7, (2 -1 2)
- d 1.645, 55.90 deg, rel. 18.5, (3 -1 1)
- d 1.602, 57.55 deg, rel. 15.2, (1 1 3)

Cell and atoms:
a = 5.2195 Å, b = 5.2195 Å, c = 6.0855 Å
α = 90.00°, β = 90.00°, γ = 120.00°
Space group P312 (No. 149)
Symmetry-distinct sites (fractional):
K 0.0000 0.0000 0.0000
As 0.3333 0.6667 0.5000
I 0.6667 0.3333 0.5000
O 0.0214 0.3981 0.6809

Entry 9:
K2TlAsI6: calculated powder X-ray diffraction pattern (Cu Kα, 1.54184 Å), based on a DFT-relaxed cell (GGA-PBE, Alexandria).
Peak positions follow from Bragg's law for the DFT cell and can differ from measured ones.

Main lines, in order of rising 2θ (5 to 70 degrees two-theta):
- d 6.107, 14.51 deg, rel. 79.1, (0 1 2)
- d 3.675, 24.22 deg, rel. 100.0, (2 -1 3)
- d 3.053, 29.25 deg, rel. 50.6, (0 2 4)
- d 2.773, 32.28 deg, rel. 29.4, (3 -1 1)
- d 2.755, 32.50 deg, rel. 57.4, (1 1 6)
- d 2.484, 36.16 deg, rel. 17.8, (2 1 4)
- d 2.466, 36.43 deg, rel. 29.3, (3 0 0)
- d 2.095, 43.19 deg, rel. 18.4, (2 -1 9)
- d 1.710, 53.59 deg, rel. 22.2, (4 -3 7)
- d 1.619, 56.85 deg, rel. 18.3, (5 -2 4)

Cell and atoms:
a = 8.5431 Å, b = 8.5431 Å, c = 21.6318 Å
α = 90.00°, β = 90.00°, γ = 120.00°
Space group R3 (No. 146, hexagonal axes)
Symmetry-distinct sites (fractional):
K 0.0000 0.0000 0.0000
K 0.0000 0.0000 0.4893
Tl 0.0000 0.0000 0.2832
As 0.0000 0.0000 0.7893
I 0.0396 0.6226 0.5358
I 0.0854 0.3633 0.3801

Entry 10:
La6AsRh2I3: calculated powder X-ray diffraction pattern (Cu Kα, 1.54184 Å), based on a DFT-relaxed cell (GGA-PBE, Alexandria).
Peak positions follow from Bragg's law for the DFT cell and can differ from measured ones.

Main lines, in order of rising 2θ (5 to 70 degrees two-theta):
- d 3.192, 27.96 deg, rel. 100.0, (1 3 1)
- d 2.970, 30.09 deg, rel. 13.3, (1 3 -2)
- d 2.702, 33.16 deg, rel. 7.6, (0 0 3)
- d 2.548, 35.22 deg, rel. 8.0, (2 0 -3)
- d 2.364, 38.06 deg, rel. 9.8, (2 0 2)
- d 2.360, 38.13 deg, rel. 18.7, (1 3 -3)
- d 2.165, 41.72 deg, rel. 37.8, (0 6 0)
- d 1.792, 50.97 deg, rel. 18.2, (4 0 0)
- d 1.691, 54.26 deg, rel. 7.0, (0 6 3)
- d 1.381, 67.87 deg, rel. 10.0, (4 6 0)

Cell and atoms:
a = 7.496 Å, b = 12.996 Å, c = 8.475 Å
α = 90.00°, β = 106.98°, γ = 90.00°
Space group C2/m (No. 12)
Symmetry-distinct sites (fractional):
La 0.216 0.000 0.191
La 0.238 0.326 0.191
As 0.000 0.500 0.000
Rh 0.000 0.167 0.000
I 0.000 0.000 0.500
I 0.000 0.337 0.500

Entry 11:
LaAs2RuI: calculated powder X-ray diffraction pattern (Cu Kα, 1.54184 Å), based on a DFT-relaxed cell (GGA-PBE, Alexandria).
Peak positions follow from Bragg's law for the DFT cell and can differ from measured ones.

Main lines, in order of rising 2θ (5 to 70 degrees two-theta):
- d 5.847, 15.15 deg, rel. 26.5, (1 0 0)
- d 4.135, 21.49 deg, rel. 39.7, (1 1 0)
- d 3.734, 23.83 deg, rel. 34.8, (1 0 1)
- d 3.147, 28.36 deg, rel. 55.2, (1 1 1)
- d 2.924, 30.58 deg, rel. 100.0, (2 0 0)
- d 2.426, 37.05 deg, rel. 29.7, (0 0 2)
- d 2.302, 39.13 deg, rel. 19.0, (2 1 1)
- d 2.067, 43.79 deg, rel. 36.9, (2 2 0)
- d 1.867, 48.78 deg, rel. 53.6, (2 0 2)
- d 1.574, 58.67 deg, rel. 30.6, (2 2 2)

Cell and atoms:
a = 5.847 Å, b = 5.847 Å, c = 4.852 Å
α = 90.00°, β = 90.00°, γ = 90.00°
Space group P4/mmm (No. 123)
Symmetry-distinct sites (fractional):
La 0.000 0.000 0.000
As 0.000 0.500 0.000
Ru 0.000 0.000 0.500
I 0.500 0.500 0.500

Entry 12:
La4SiAsI2: calculated powder X-ray diffraction pattern (Cu Kα, 1.54184 Å), based on a DFT-relaxed cell (GGA-PBE, Alexandria).
Peak positions follow from Bragg's law for the DFT cell and can differ from measured ones.

Main lines, in order of rising 2θ (5 to 70 degrees two-theta):
- d 3.200, 27.88 deg, rel. 100.0, (1 1 1)
- d 2.961, 30.18 deg, rel. 19.4, (2 0 1)
- d 2.604, 34.45 deg, rel. 9.0, (0 0 3)
- d 2.325, 38.74 deg, rel. 29.2, (1 1 -3)
- d 2.206, 40.91 deg, rel. 39.3, (0 2 0)
- d 1.816, 50.23 deg, rel. 19.3, (2 2 -2)
- d 1.683, 54.52 deg, rel. 14.4, (0 2 3)
- d 1.630, 56.45 deg, rel. 8.8, (1 1 4)
- d 1.600, 57.60 deg, rel. 9.0, (2 2 2)
- d 1.402, 66.71 deg, rel. 16.3, (1 3 1)

Cell and atoms:
a = 7.641 Å, b = 4.412 Å, c = 8.215 Å
α = 90.00°, β = 108.04°, γ = 90.00°
Space group P2/m (No. 10)
Symmetry-distinct sites (fractional):
La 0.229 0.000 0.200
La 0.263 0.500 0.800
Si 0.000 0.500 0.000
As 0.500 0.000 0.000
I 0.000 0.000 0.500
I 0.500 0.500 0.500

Entry 13:
Li2AsI5: calculated powder X-ray diffraction pattern (Cu Kα, 1.54184 Å), based on a DFT-relaxed cell (GGA-PBE, Alexandria).
Peak positions follow from Bragg's law for the DFT cell and can differ from measured ones.

Main lines, in order of rising 2θ (5 to 70 degrees two-theta):
- d 3.630, 24.52 deg, rel. 100.0, (1 1 1)
- d 3.447, 25.85 deg, rel. 91.6, (3 1 -2)
- d 3.142, 28.40 deg, rel. 52.3, (4 0 -1)
- d 3.081, 28.98 deg, rel. 59.7, (0 2 0)
- d 2.968, 30.11 deg, rel. 60.0, (2 0 -3)
- d 2.246, 40.15 deg, rel. 24.0, (2 0 2)
- d 2.200, 41.03 deg, rel. 36.0, (4 2 -1)
- d 2.138, 42.27 deg, rel. 41.0, (2 2 -3)
- d 1.842, 49.49 deg, rel. 37.5, (3 3 -2)
- d 1.815, 50.27 deg, rel. 23.1, (2 2 2)

Cell and atoms:
a = 13.521 Å, b = 6.162 Å, c = 9.241 Å
α = 90.00°, β = 131.50°, γ = 90.00°
Space group C2 (No. 5)
Symmetry-distinct sites (fractional):
Li 0.199 0.000 0.316
As 0.000 0.037 0.500
I 0.000 0.469 0.500
I 0.067 0.982 0.865
I 0.224 0.496 0.310

Entry 14:
Mg2AsI: calculated powder X-ray diffraction pattern (Cu Kα, 1.54184 Å), based on a DFT-relaxed cell (GGA-PBE, Alexandria).
Peak positions follow from Bragg's law for the DFT cell and can differ from measured ones.

Main lines, in order of rising 2θ (5 to 70 degrees two-theta):
- d 3.689, 24.12 deg, rel. 100.0, (1 1 2)
- d 3.210, 27.79 deg, rel. 9.1, (0 0 4)
- d 3.188, 27.99 deg, rel. 20.1, (2 0 0)
- d 2.262, 39.85 deg, rel. 36.4, (2 0 4)
- d 2.254, 40.00 deg, rel. 16.7, (2 2 0)
- d 1.933, 47.00 deg, rel. 16.2, (1 1 6)
- d 1.923, 47.26 deg, rel. 30.9, (3 1 2)
- d 1.845, 49.40 deg, rel. 9.2, (2 2 4)
- d 1.468, 63.38 deg, rel. 12.7, (3 1 6)
- d 1.463, 63.59 deg, rel. 6.2, (3 3 2)

Cell and atoms:
a = 6.375 Å, b = 6.375 Å, c = 12.842 Å
α = 90.00°, β = 90.00°, γ = 90.00°
Space group I-42d (No. 122)
Symmetry-distinct sites (fractional):
Mg 0.182 0.250 0.125
As 0.000 0.000 0.000
I 0.000 0.000 0.500